1.
This entry pairs a crystal structure of LiMnF4 with its theoretical powder XRD pattern. Radiation: λ = 1.5418 Å (Cu Kα). Structure: a PBE+U-relaxed structure.

Atomic structure:
```
data_LiMnF4
_cell_length_a 15.250
_cell_length_b 3.981
_cell_length_c 12.549
_cell_angle_alpha 90.00
_cell_angle_beta 122.93
_cell_angle_gamma 90.00
_space_group_name_H-M_alt 'C 1 2/m 1'
_space_group_IT_number 12
_space_group_name_Hall '-C 2y'
loop_
_atom_site_label
_atom_site_type_symbol
_atom_site_fract_x
_atom_site_fract_y
_atom_site_fract_z
Li1 Li 0.149 0.000 0.328
Li2 Li 0.186 0.500 0.167
Mn1 Mn 0.044 0.500 0.872
Mn2 Mn 0.146 0.500 0.643
F1 F 0.000 0.500 0.000
F2 F 0.000 0.500 0.500
F3 F 0.029 0.000 0.852
F4 F 0.095 0.500 0.751
F5 F 0.099 0.500 0.264
F6 F 0.164 0.000 0.665
F7 F 0.177 0.500 0.009
F8 F 0.198 0.500 0.541
F9 F 0.202 0.000 0.211
```

Peak list (6 most intense, 5 to 70 degrees two-theta, sorted by position)
(2 0 1), 19.76 deg, I = 69
(2 0 -3), 21.24 deg, I = 56
(1 1 0), 23.40 deg, I = 100
(4 0 -3), 25.51 deg, I = 28
(0 2 0), 45.58 deg, I = 34
(6 0 -6), 45.72 deg, I = 31

---

2.
This entry pairs a crystal structure of Fe3B7BrO13 with its theoretical powder XRD pattern. Radiation: λ = 1.5418 Å (Cu Kα). Structure: a PBE+U-relaxed structure.

Atomic structure:
```
data_Fe3B7BrO13
_cell_length_a 8.7193
_cell_length_b 8.7193
_cell_length_c 21.4441
_cell_angle_alpha 90.00
_cell_angle_beta 90.00
_cell_angle_gamma 120.00
_space_group_name_H-M_alt 'R 3 c'
_space_group_IT_number 161
_space_group_name_Hall 'R 3 -2"c'
loop_
_atom_site_label
_atom_site_type_symbol
_atom_site_fract_x
_atom_site_fract_y
_atom_site_fract_z
Fe1 Fe 0.1826 0.3662 0.0000
B1 B 0.0000 0.0000 0.0612
B2 B 0.1671 0.3375 0.2452
B3 B 0.2029 0.1009 0.6899
Br1 Br 0.0000 0.0000 0.4030
O1 O 0.0000 0.0000 0.1733
O2 O 0.0289 0.2884 0.6990
O3 O 0.1094 0.3604 0.8065
O4 O 0.1333 0.4439 0.9147
O5 O 0.1598 0.0029 0.5572
```

Peak list (6 most intense, 5 to 70 degrees two-theta, sorted by position)
(0 0 6), 24.94 deg, I = 21
(0 2 4), 28.92 deg, I = 100
(1 2 2), 32.43 deg, I = 80
(2 0 8), 41.31 deg, I = 30
(2 2 0), 41.42 deg, I = 28
(4 0 4), 51.31 deg, I = 20

---

3.
This entry pairs a crystal structure of Li5Mn3O8 with its theoretical powder XRD pattern. Radiation: λ = 1.5418 Å (Cu Kα). Structure: a PBE+U-relaxed structure.

Atomic structure:
```
data_Li5Mn3O8
_cell_length_a 10.337
_cell_length_b 5.765
_cell_length_c 5.133
_cell_angle_alpha 90.00
_cell_angle_beta 111.22
_cell_angle_gamma 90.00
_space_group_name_H-M_alt 'C 1 2/m 1'
_space_group_IT_number 12
_space_group_name_Hall '-C 2y'
loop_
_atom_site_label
_atom_site_type_symbol
_atom_site_fract_x
_atom_site_fract_y
_atom_site_fract_z
Li1 Li 0.000 0.000 0.000
Li2 Li 0.000 0.238 0.500
Li3 Li 0.246 0.000 0.499
Mn1 Mn 0.000 0.500 0.000
Mn2 Mn 0.250 0.250 0.000
O1 O 0.129 0.262 0.215
O2 O 0.137 0.000 0.771
O3 O 0.142 0.500 0.762
```

Peak list (6 most intense, 5 to 70 degrees two-theta, sorted by position)
(1 1 0), 17.93 deg, I = 19
(0 0 1), 18.54 deg, I = 100
(2 2 0), 36.33 deg, I = 27
(4 0 -2), 42.54 deg, I = 34
(2 2 1), 44.23 deg, I = 62
(6 2 -1), 62.86 deg, I = 18

---

4.
This entry pairs a crystal structure of Li5Mn3O8 with its theoretical powder XRD pattern. Radiation: λ = 1.5418 Å (Cu Kα). Structure: a PBE+U-relaxed structure.

Atomic structure:
```
data_Li5Mn3O8
_cell_length_a 5.805
_cell_length_b 5.861
_cell_length_c 8.364
_cell_angle_alpha 90.47
_cell_angle_beta 90.06
_cell_angle_gamma 91.04
_space_group_name_H-M_alt 'P 1'
_space_group_IT_number 1
_space_group_name_Hall 'P 1'
loop_
_atom_site_label
_atom_site_type_symbol
_atom_site_fract_x
_atom_site_fract_y
_atom_site_fract_z
Li1 Li 0.000 0.000 0.000
Li2 Li 0.000 0.002 0.497
Li3 Li 0.249 0.248 0.749
Li4 Li 0.253 0.751 0.254
Li5 Li 0.496 0.498 0.496
Li6 Li 0.499 0.498 0.001
Li7 Li 0.504 0.995 0.495
Li8 Li 0.747 0.246 0.744
Li9 Li 0.748 0.753 0.256
Li10 Li 0.999 0.500 0.002
Mn1 Mn 0.252 0.750 0.746
Mn2 Mn 0.253 0.247 0.247
Mn3 Mn 0.499 0.000 0.000
Mn4 Mn 0.748 0.247 0.252
Mn5 Mn 0.748 0.749 0.745
Mn6 Mn 0.996 0.500 0.497
O1 O 0.003 0.971 0.746
O2 O 0.226 0.274 0.489
O3 O 0.234 0.735 0.513
O4 O 0.257 0.757 0.976
O5 O 0.263 0.233 0.008
O6 O 0.496 0.526 0.746
O7 O 0.503 0.973 0.734
O8 O 0.504 0.472 0.250
O9 O 0.525 0.003 0.261
O10 O 0.737 0.763 0.973
O11 O 0.742 0.240 0.021
O12 O 0.761 0.265 0.487
O13 O 0.764 0.733 0.515
O14 O 0.979 0.502 0.266
O15 O 0.996 0.518 0.737
O16 O 0.997 0.027 0.250
```

Peak list (6 most intense, 5 to 70 degrees two-theta, sorted by position)
(0 1 -1), 18.42 deg, I = 100
(0 1 1), 18.59 deg, I = 32
(0 0 4), 43.27 deg, I = 32
(2 -2 0), 43.49 deg, I = 32
(2 2 0), 44.33 deg, I = 30
(0 4 0), 63.47 deg, I = 16

---

5.
This entry pairs a crystal structure of Ca3W2O9 with its theoretical powder XRD pattern. Radiation: λ = 1.5418 Å (Cu Kα). Structure: a PBE+U-relaxed structure.

Atomic structure:
```
data_Ca3W2O9
_cell_length_a 8.572
_cell_length_b 7.791
_cell_length_c 9.271
_cell_angle_alpha 90.00
_cell_angle_beta 117.22
_cell_angle_gamma 90.00
_space_group_name_H-M_alt 'P 1 21/m 1'
_space_group_IT_number 11
_space_group_name_Hall '-P 2yb'
loop_
_atom_site_label
_atom_site_type_symbol
_atom_site_fract_x
_atom_site_fract_y
_atom_site_fract_z
Ca1 Ca 0.000 0.000 0.000
Ca2 Ca 0.156 0.250 0.785
Ca3 Ca 0.357 0.250 0.250
W1 W 0.151 0.750 0.708
W2 W 0.436 0.750 0.273
O1 O 0.015 0.750 0.491
O2 O 0.106 0.558 0.796
O3 O 0.126 0.250 0.008
O4 O 0.298 0.558 0.224
O5 O 0.376 0.750 0.743
O6 O 0.406 0.250 0.515
O7 O 0.443 0.250 0.842
```

Peak list (6 most intense, 5 to 70 degrees two-theta, sorted by position)
(1 1 -1), 16.29 deg, I = 68
(2 0 -1), 20.72 deg, I = 57
(0 0 2), 21.56 deg, I = 58
(1 1 1), 22.34 deg, I = 100
(0 2 0), 22.83 deg, I = 60
(0 2 2), 31.60 deg, I = 39

---

Which formula does entry 3 have?
Li5Mn3O8